# PuAsC
Theoretical powder XRD pattern, Cu Kα (λ = 1.5418 Å). Input: the PBE geometry in Alexandria.
Neutral-atom scattering factors, no anomalous dispersion.

abc: 7.930 7.930 7.930
angles: 150.04 149.89 42.99
Positions (direct):
Pu 0.134 0.134 0.000
Pu 0.866 0.866 0.000
As 0.331 0.331 0.000
As 0.669 0.669 0.000
C 0.345 0.000 0.345
C 0.655 0.000 0.655

The 6 most intense peaks (2θ = 10–80°), by intensity:
30.8°, d = 2.906 Å, I = 100; 39.5°, d = 2.283 Å, I = 80; 22.5°, d = 3.957 Å, I = 67; 24.1°, d = 3.689 Å, I = 62; 48.5°, d = 1.876 Å, I = 35; 28.3°, d = 3.154 Å, I = 32

=====

# CsNa10Pb2
Theoretical powder XRD pattern, Cu Kα (λ = 1.5418 Å). Input: the PBE geometry in Alexandria.
Neutral-atom scattering factors, no anomalous dispersion.

abc: 11.859 9.239 8.980
angles: 81.21 50.35 48.45
Positions (direct):
Cs 0.000 0.000 0.000
Na 0.000 0.000 0.500
Na 0.023 0.347 0.653
Na 0.271 0.486 0.514
Na 0.347 0.023 0.977
Na 0.486 0.271 0.729
Na 0.500 0.500 0.000
Na 0.514 0.729 0.271
Na 0.653 0.977 0.023
Na 0.729 0.514 0.486
Na 0.977 0.653 0.347
Pb 0.000 0.500 0.000
Pb 0.500 0.000 0.500

The 6 most intense peaks (2θ = 10–80°), by intensity:
10.7°, d = 8.244 Å, I = 100; 29.3°, d = 3.053 Å, I = 73; 30.2°, d = 2.963 Å, I = 41; 10.4°, d = 8.525 Å, I = 41; 14.9°, d = 5.926 Å, I = 39; 23.5°, d = 3.786 Å, I = 36

=====

# CaLaGd2
Theoretical powder XRD pattern, Cu Kα (λ = 1.5418 Å). Input: the PBE geometry in Alexandria.
Neutral-atom scattering factors, no anomalous dispersion.

abc: 5.862 5.862 5.862
angles: 60.00 60.00 60.00
Positions (direct):
Ca 0.000 0.000 0.000
La 0.500 0.500 0.500
Gd 0.250 0.250 0.250
Gd 0.750 0.750 0.750

The 6 most intense peaks (2θ = 10–80°), by intensity:
30.5°, d = 2.931 Å, I = 100; 54.2°, d = 1.692 Å, I = 39; 43.7°, d = 2.073 Å, I = 19; 72.0°, d = 1.311 Å, I = 17; 63.5°, d = 1.466 Å, I = 12; 21.4°, d = 4.145 Å, I = 8

=====

# Pm12MgRu7
Theoretical powder XRD pattern, Cu Kα (λ = 1.5418 Å). Input: the PBE geometry in Alexandria.
Neutral-atom scattering factors, no anomalous dispersion.

abc: 8.744 8.744 8.744
angles: 109.32 109.32 109.32
Positions (direct):
Pm 0.091 0.296 0.390
Pm 0.138 0.667 0.303
Pm 0.296 0.390 0.091
Pm 0.303 0.138 0.667
Pm 0.333 0.697 0.862
Pm 0.390 0.091 0.296
Pm 0.610 0.909 0.704
Pm 0.667 0.303 0.138
Pm 0.697 0.862 0.333
Pm 0.704 0.610 0.909
Pm 0.862 0.333 0.697
Pm 0.909 0.704 0.610
Mg 0.000 0.000 0.000
Ru 0.024 0.925 0.298
Ru 0.075 0.702 0.976
Ru 0.298 0.024 0.925
Ru 0.500 0.500 0.500
Ru 0.702 0.976 0.075
Ru 0.925 0.298 0.024
Ru 0.976 0.075 0.702

The 6 most intense peaks (2θ = 10–80°), by intensity:
33.2°, d = 2.702 Å, I = 100; 27.9°, d = 3.195 Å, I = 60; 33.2°, d = 2.696 Å, I = 55; 33.0°, d = 2.716 Å, I = 37; 37.6°, d = 2.391 Å, I = 37; 45.9°, d = 1.979 Å, I = 31

=====

# Zr2Al
Theoretical powder XRD pattern, Cu Kα (λ = 1.5418 Å). Input: the PBE geometry in Alexandria.
Neutral-atom scattering factors, no anomalous dispersion.

abc: 7.178 7.178 4.102
angles: 90.00 90.00 144.28
Positions (direct):
Zr 0.000 0.000 0.000
Zr 0.172 0.828 0.500
Zr 0.500 0.500 0.500
Zr 0.828 0.172 0.500
Al 0.338 0.662 0.000
Al 0.662 0.338 0.000

The 6 most intense peaks (2θ = 10–80°), by intensity:
35.8°, d = 2.506 Å, I = 100; 39.6°, d = 2.277 Å, I = 19; 41.0°, d = 2.201 Å, I = 17; 44.2°, d = 2.051 Å, I = 14; 69.4°, d = 1.355 Å, I = 13; 71.3°, d = 1.322 Å, I = 13

=====

# In8HgPb5
Theoretical powder XRD pattern, Cu Kα (λ = 1.5418 Å). Input: the PBE geometry in Alexandria.
Neutral-atom scattering factors, no anomalous dispersion.

abc: 8.393 8.393 8.393
angles: 103.16 103.16 122.99
Positions (direct):
In 0.166 0.266 0.798
In 0.173 0.642 0.848
In 0.358 0.207 0.532
In 0.468 0.368 0.202
In 0.632 0.834 0.100
In 0.675 0.827 0.468
In 0.734 0.532 0.900
In 0.793 0.325 0.152
Hg 0.000 0.000 0.000
Pb 0.026 0.783 0.565
Pb 0.217 0.782 0.243
Pb 0.218 0.461 0.435
Pb 0.539 0.974 0.757
Pb 0.750 0.250 0.500

The 6 most intense peaks (2θ = 10–80°), by intensity:
33.0°, d = 2.717 Å, I = 100; 28.0°, d = 3.189 Å, I = 82; 35.2°, d = 2.546 Å, I = 58; 38.9°, d = 2.317 Å, I = 55; 37.3°, d = 2.412 Å, I = 42; 38.6°, d = 2.332 Å, I = 39